Structure and simulated powder XRD pattern of FeH2 (DFT lattice parameters and positions (PBE); Cu Ka).
Lines closer than 0.1° are merged.

The 5 most intense peaks (2θ = 5–70°), sorted by position:
2theta	d (Å)	I (rel.)
22.32	3.983	100
42.09	2.147	50
45.55	1.991	13
48.15	1.890	69
63.74	1.460	28

Atomic structure:
```
3
Lattice="2.4791 0.0000 0.0000 -1.2395 2.1469 0.0000 0.0000 0.0000 3.9830" Properties=species:S:1:pos:R:3 pbc="T T T"
Fe 0.0000 0.0000 0.0000
H 0.0000 1.4313 0.9594
H 1.2395 0.7156 3.0235
```

---

Structure and simulated powder XRD pattern of Pu3Al2 (DFT lattice parameters and positions (PBE); Cu Ka).
Lines closer than 0.1° are merged.

The 6 most intense peaks (2θ = 5–70°), sorted by position:
2theta	d (Å)	I (rel.)
19.98	4.444	39
32.80	2.731	100
34.97	2.566	65
48.70	1.870	33
61.35	1.511	33
65.00	1.435	19

Atomic structure:
```
10
Lattice="4.4439 2.5657 3.4613 -4.4439 2.5657 3.4613 0.0000 -5.1314 3.4613" Properties=species:S:1:pos:R:3 pbc="T T T"
Pu -3.0064 -0.0758 4.3267
Pu -1.4375 -2.6415 6.0573
Pu 1.5688 -2.5657 4.3267
Pu -1.5688 2.5657 6.0573
Pu 1.4375 2.6415 4.3267
Pu 3.0064 0.0758 6.0573
Al 0.0000 0.0000 1.2901
Al 0.0000 0.0000 3.9019
Al 0.0000 0.0000 6.4820
Al 0.0000 0.0000 9.0939
```

---

Structure and simulated powder XRD pattern of TmCo12B6 (DFT lattice parameters and positions (PBE); Cu Ka).
Lines closer than 0.1° are merged.

The 6 most intense peaks (2θ = 5–70°), sorted by position:
2theta	d (Å)	I (rel.)
32.79	2.731	40
33.12	2.704	33
41.43	2.180	60
41.97	2.153	100
47.30	1.922	24
59.17	1.561	21

Atomic structure:
```
19
Lattice="4.6842 2.7044 2.4625 -4.6842 2.7044 2.4625 0.0000 -5.4088 2.4625" Properties=species:S:1:pos:R:3 pbc="T T T"
Tm 0.0000 0.0000 0.0000
Co -1.7229 -2.9841 3.6937
Co -3.4457 0.0000 3.6937
Co -1.2586 -0.7267 2.6980
Co 1.2586 -0.7267 2.6980
Co 0.0000 1.4533 2.6980
Co 1.7229 -2.9841 3.6937
Co -1.7229 2.9841 3.6937
Co 0.0000 -1.4533 4.6894
Co -1.2586 0.7267 4.6894
Co 1.2586 0.7267 4.6895
Co 3.4457 0.0000 3.6937
Co 1.7229 2.9841 3.6937
B 0.0000 -2.4136 2.8199
B -2.0902 1.2068 2.8199
B -2.0902 -1.2068 4.5676
B 2.0902 1.2068 2.8199
B 2.0902 -1.2068 4.5676
B 0.0000 2.4136 4.5676
```

---

Structure and simulated powder XRD pattern of TbGd2Cd3Au3 (DFT lattice parameters and positions (PBE); Cu Ka).
Lines closer than 0.1° are merged.

The 6 most intense peaks (2θ = 5–70°), sorted by position:
2theta	d (Å)	I (rel.)
32.28	2.773	62
34.98	2.565	100
39.90	2.259	43
42.10	2.146	32
62.66	1.483	23
64.44	1.446	28

Atomic structure:
```
9
Lattice="3.9303 0.0000 0.0000 0.0000 6.7740 3.9153 0.0000 -6.7740 3.9153" Properties=species:S:1:pos:R:3 pbc="T T T"
Tb 0.0000 0.0000 0.0000
Gd 0.0000 -2.7335 4.7403
Gd 0.0000 2.7335 4.7403
Cd 1.9652 -1.7714 2.1342
Cd 1.9652 1.7714 2.1342
Cd 1.9652 0.0000 5.2122
Au 0.0000 0.0000 3.1574
Au 1.9652 -4.5229 3.1629
Au 1.9652 4.5229 3.1629
```

---

Structure and simulated powder XRD pattern of Zr4U3 (DFT lattice parameters and positions (PBE); Cu Ka).
Lines closer than 0.1° are merged.

The 6 most intense peaks (2θ = 5–70°), sorted by position:
2theta	d (Å)	I (rel.)
12.35	7.168	51
33.07	2.709	25
33.66	2.663	31
37.24	2.415	100
47.90	1.899	18
69.73	1.349	19

Atomic structure:
```
14
Lattice="8.2740 0.0000 0.0000 0.0000 5.3256 0.0000 -4.1329 0.0000 7.1698" Properties=species:S:1:pos:R:3 pbc="T T T"
Zr -1.5484 1.3314 2.9077
Zr 0.8458 3.9942 0.1095
Zr -2.0655 1.3314 5.9747
Zr -0.3234 3.9942 6.3814
Zr 4.4645 1.3314 0.7885
Zr 6.2067 3.9942 1.1951
Zr 3.2953 1.3314 7.0603
Zr 5.6895 3.9942 4.2621
U 0.5011 3.9942 3.2631
U 1.5604 1.3314 2.0601
U 1.0104 1.3314 4.7864
U 3.1308 3.9942 2.3834
U 2.5808 3.9942 5.1097
U 3.6400 1.3314 3.9067
```

---

Structure and simulated powder XRD pattern of Dy2Y5Tm (DFT lattice parameters and positions (PBE); Cu Ka).
Lines closer than 0.1° are merged.

The 6 most intense peaks (2θ = 5–70°), sorted by position:
2theta	d (Å)	I (rel.)
28.44	3.138	24
31.69	2.824	24
32.65	2.743	100
50.37	1.812	19
57.05	1.614	20
60.74	1.525	22

Atomic structure:
```
16
Lattice="5.6474 0.0000 0.0000 0.0000 7.2465 0.0000 0.0000 0.0000 12.5524" Properties=species:S:1:pos:R:3 pbc="T T T"
Dy 0.0000 0.0000 0.0000
Dy 0.0000 3.6232 6.2762
Dy 2.8237 0.0000 4.1874
Dy 2.8237 3.6232 10.4636
Y 0.0000 0.0000 6.2806
Y 0.0000 1.8079 9.4164
Y 0.0000 1.8153 3.1402
Y 0.0000 3.6232 0.0044
Y 0.0000 5.4311 3.1402
Y 0.0000 5.4386 9.4164
Y 2.8237 1.8144 1.0488
Y 2.8237 1.8088 7.3250
Y 2.8237 5.4321 1.0488
Y 2.8237 5.4376 7.3250
Tm 2.8237 0.0000 10.4603
Tm 2.8237 3.6232 4.1841
```

---

Structure and simulated powder XRD pattern of DyErPbN (DFT lattice parameters and positions (PBE); Cu Ka).
Lines closer than 0.1° are merged.

The 6 most intense peaks (2θ = 5–70°), sorted by position:
2theta	d (Å)	I (rel.)
29.22	3.056	22
34.07	2.631	100
34.68	2.586	20
51.81	1.765	22
61.77	1.502	18
63.86	1.458	21

Atomic structure:
```
8
Lattice="3.5293 0.0000 0.0000 -1.7646 3.0564 0.0000 0.0000 0.0000 15.5180" Properties=species:S:1:pos:R:3 pbc="T T T"
Dy 0.0000 0.0000 2.5901
Dy 0.0000 0.0000 12.9279
Er 1.7646 1.0188 5.1739
Er 1.7646 1.0188 10.3441
Pb 0.0000 0.0000 7.7590
Pb 1.7646 1.0188 0.0000
N 0.0000 2.0376 3.9192
N 0.0000 2.0376 11.5989
```

---

Structure and simulated powder XRD pattern of HgICl (DFT lattice parameters and positions (PBE); Cu Ka).
Lines closer than 0.1° are merged.

The 6 most intense peaks (2θ = 5–70°), sorted by position:
2theta	d (Å)	I (rel.)
14.69	6.032	33
21.84	4.070	100
25.35	3.514	37
30.36	2.944	39
32.84	2.727	46
42.09	2.147	43

Atomic structure:
```
6
Lattice="4.3233 0.0000 0.0000 0.0000 4.3233 0.0000 0.0000 0.0000 12.0639" Properties=species:S:1:pos:R:3 pbc="T T T"
Hg 0.0000 0.0000 0.0000
Hg 2.1616 2.1616 6.0319
I 0.0000 2.1616 7.8857
I 2.1616 0.0000 4.1782
Cl 0.0000 2.1616 1.4003
Cl 2.1616 0.0000 10.6635
```

---

Structure and simulated powder XRD pattern of Nb4Si2CN (DFT lattice parameters and positions (PBE); Cu Ka).
Lines closer than 0.1° are merged.

The 6 most intense peaks (2θ = 5–70°), sorted by position:
2theta	d (Å)	I (rel.)
14.37	6.162	16
31.94	2.802	24
32.78	2.732	22
38.91	2.315	100
55.47	1.656	12
56.92	1.618	24

Atomic structure:
```
8
Lattice="3.2352 0.0000 0.0000 -1.6176 2.8018 0.0000 0.0000 0.0000 12.3235" Properties=species:S:1:pos:R:3 pbc="T T T"
Nb 0.0000 1.8679 1.2026
Nb 0.0000 1.8679 4.9943
Nb 1.6176 0.9339 7.3292
Nb 1.6176 0.9339 11.1208
Si 0.0000 1.8679 9.2223
Si 1.6176 0.9339 3.1012
C 0.0000 0.0000 0.0000
N 0.0000 0.0000 6.1617
```